Structure and calculated powder X-ray diffraction pattern of TaCdFe (the PBE geometry in Alexandria; CuKα).

The 10 most intense peaks (15 to 90 degrees two-theta), in order of rising 2θ:
| 2theta | Rel. int. |
| --- | --- |
| 26.86 | 14 |
| 33.72 | 17 |
| 38.94 | 100 |
| 40.49 | 23 |
| 40.78 | 19 |
| 53.60 | 10 |
| 58.82 | 13 |
| 69.29 | 11 |
| 72.62 | 15 |
| 73.02 | 10 |

Cell and atoms:
abc: 3.420 4.456 13.275
angles: 90.00 90.00 90.00
Space group Fmm2 (No. 42)
Unique sites:
Ta 0.000 0.000 0.000
Cd 0.000 0.000 0.311
Fe 0.000 0.000 0.645

---

Structure and calculated powder X-ray diffraction pattern of Tb6CdFe2 (the PBE geometry in Alexandria; CuKα).

The 10 most intense peaks (15 to 90 degrees two-theta), in order of rising 2θ:
| 2theta | Rel. int. |
| --- | --- |
| 28.27 | 15 |
| 28.97 | 14 |
| 29.77 | 19 |
| 31.87 | 100 |
| 34.12 | 27 |
| 34.30 | 28 |
| 34.74 | 21 |
| 35.83 | 14 |
| 38.04 | 18 |
| 59.51 | 18 |

Cell and atoms:
abc: 9.461 9.718 10.025
angles: 90.00 90.00 90.00
Space group Immm (No. 71)
Unique sites:
Tb 0.000 0.214 0.225
Tb 0.204 0.500 0.188
Tb 0.209 0.313 0.500
Cd 0.000 0.000 0.000
Cd 0.000 0.000 0.500
Fe 0.000 0.387 0.000
Fe 0.000 0.500 0.392

---

Structure and calculated powder X-ray diffraction pattern of TbCdFe (the PBE geometry in Alexandria; CuKα).

The 10 most intense peaks (15 to 90 degrees two-theta), in order of rising 2θ:
| 2theta | Rel. int. |
| --- | --- |
| 27.56 | 15 |
| 31.22 | 100 |
| 33.69 | 80 |
| 35.73 | 34 |
| 36.44 | 30 |
| 38.60 | 25 |
| 41.68 | 28 |
| 45.45 | 15 |
| 47.46 | 25 |
| 55.15 | 15 |

Cell and atoms:
abc: 13.294 3.831 5.090
angles: 90.00 103.15 90.00
Space group C2/m (No. 12)
Unique sites:
Tb 0.137 0.000 0.329
Cd 0.071 0.500 0.786
Fe 0.233 0.000 0.906

---

Structure and calculated powder X-ray diffraction pattern of Tb12CdFe6 (the PBE geometry in Alexandria; CuKα).

The 10 most intense peaks (15 to 90 degrees two-theta), in order of rising 2θ:
| 2theta | Rel. int. |
| --- | --- |
| 29.00 | 46 |
| 31.84 | 65 |
| 34.47 | 100 |
| 36.93 | 25 |
| 47.63 | 23 |
| 54.99 | 40 |
| 58.43 | 40 |
| 68.10 | 22 |
| 84.42 | 16 |
| 85.87 | 19 |

Cell and atoms:
abc: 9.736 9.736 9.736
angles: 90.00 90.00 90.00
Space group Im-3 (No. 204)
Unique sites:
Tb 0.000 0.299 0.196
Cd 0.000 0.000 0.000
Fe 0.000 0.109 0.500

---

Structure and calculated powder X-ray diffraction pattern of CdFe2Te (the PBE geometry in Alexandria; CuKα).

The 10 most intense peaks (15 to 90 degrees two-theta), in order of rising 2θ:
| 2theta | Rel. int. |
| --- | --- |
| 23.17 | 35 |
| 30.64 | 100 |
| 36.88 | 85 |
| 40.44 | 96 |
| 45.65 | 92 |
| 47.12 | 21 |
| 58.52 | 31 |
| 71.21 | 22 |
| 75.10 | 22 |
| 77.21 | 36 |

Cell and atoms:
abc: 3.155 3.155 7.678
angles: 90.00 90.00 90.00
Space group P4mm (No. 99)
Unique sites:
Cd 0.000 0.000 0.000
Fe 0.000 0.000 0.377
Fe 0.500 0.500 0.220
Te 0.500 0.500 0.576

---

Structure and calculated powder X-ray diffraction pattern of Th5CdFe (the PBE geometry in Alexandria; CuKα).

The 10 most intense peaks (15 to 90 degrees two-theta), in order of rising 2θ:
| 2theta | Rel. int. |
| --- | --- |
| 25.95 | 19 |
| 28.09 | 40 |
| 32.06 | 23 |
| 33.76 | 100 |
| 36.09 | 28 |
| 37.95 | 24 |
| 53.37 | 19 |
| 61.60 | 22 |
| 63.41 | 17 |
| 65.89 | 15 |

Cell and atoms:
abc: 4.742 4.978 8.375
angles: 90.00 90.00 90.00
Space group Pmmm (No. 47)
Unique sites:
Th 0.000 0.000 0.000
Th 0.000 0.500 0.302
Th 0.500 0.000 0.300
Cd 0.500 0.500 0.000
Fe 0.000 0.000 0.500

---

Structure and calculated powder X-ray diffraction pattern of Th3Cd3Fe (the PBE geometry in Alexandria; CuKα).

The 10 most intense peaks (15 to 90 degrees two-theta), in order of rising 2θ:
| 2theta | Rel. int. |
| --- | --- |
| 27.37 | 16 |
| 30.85 | 47 |
| 32.77 | 100 |
| 35.77 | 41 |
| 45.62 | 13 |
| 52.76 | 12 |
| 54.85 | 50 |
| 56.08 | 11 |
| 65.39 | 19 |
| 84.02 | 13 |

Cell and atoms:
abc: 14.201 14.201 14.201
angles: 90.00 90.00 90.00
Space group Fd-3m (No. 227, origin choice 2)
Unique sites:
Th 0.071 0.375 0.375
Cd 0.000 0.000 0.500
Cd 0.045 0.045 0.705
Fe 0.000 0.000 0.000

---

Structure and calculated powder X-ray diffraction pattern of Y12CdFe6 (the PBE geometry in Alexandria; CuKα).

The 10 most intense peaks (15 to 90 degrees two-theta), in order of rising 2θ:
| 2theta | Rel. int. |
| --- | --- |
| 28.95 | 23 |
| 31.78 | 59 |
| 34.40 | 100 |
| 36.86 | 24 |
| 47.53 | 29 |
| 54.88 | 29 |
| 58.31 | 29 |
| 67.95 | 20 |
| 84.23 | 13 |
| 85.67 | 15 |

Cell and atoms:
abc: 9.754 9.754 9.754
angles: 90.00 90.00 90.00
Space group Im-3 (No. 204)
Unique sites:
Y 0.000 0.195 0.299
Cd 0.000 0.000 0.000
Fe 0.000 0.391 0.500